Structure and calculated powder X-ray diffraction pattern of Pr4NiSn2 (a DFT-relaxed cell (PBE, Alexandria); copper Kα).

Cell and atoms:
```
Pr4NiSn2
1.0
6.6909 0.0000 0.0000
0.0000 6.9036 0.0000
-2.3213 0.0000 9.1766
Pr Ni Sn
8 2 4
Cartesian
0.9967 1.7259 0.8903
0.7973 5.1777 3.5130
0.2330 0.0090 6.8969
0.2330 3.4428 6.8969
4.1366 3.4608 2.2798
4.1366 6.8947 2.2798
3.5723 1.7259 5.6636
3.3729 5.1777 8.2863
2.2155 1.7259 3.3729
2.1541 5.1777 5.8037
-0.2208 1.7259 4.0230
1.9863 5.1777 0.4726
2.3834 1.7259 8.7040
4.5904 5.1777 5.1536
```

Main lines, most intense first (2θ from 15° to 90°):
Position (°2θ)  Rel. int.
32.00  100
29.81  91
32.46  84
35.38  81
29.06  64
32.35  60
27.50  57
31.88  37
47.59  33
30.45  29

=====

Structure and calculated powder X-ray diffraction pattern of Pr4NiSn (a DFT-relaxed cell (PBE, Alexandria); copper Kα).

Cell and atoms:
```
Pr4NiSn
1.0
2.7250 -10.3643 0.0000
2.7250 10.3643 0.0000
0.0000 0.0000 6.6743
Pr Ni Sn
8 2 2
Cartesian
2.7250 9.3908 3.3373
2.7250 6.2880 1.6806
2.7250 6.2879 4.9923
2.7250 2.0129 3.3372
2.7250 -2.0129 0.0000
2.7250 -6.2879 1.6551
2.7250 -6.2880 5.0177
2.7250 -9.3908 0.0002
2.7250 8.6212 6.6674
2.7250 -8.6212 3.3303
2.7250 3.1157 6.6740
2.7250 -3.1157 3.3369
```

Main lines, most intense first (2θ from 15° to 90°):
Position (°2θ)  Rel. int.
34.07  100
32.87  67
27.02  56
28.09  52
30.22  35
43.77  31
37.23  31
34.47  30
50.49  25
59.45  20

=====

Structure and calculated powder X-ray diffraction pattern of PrNi3Sn3 (a DFT-relaxed cell (PBE, Alexandria); copper Kα).

Cell and atoms:
```
PrNi3Sn3
1.0
4.1820 2.4145 4.8440
-4.1820 2.4145 4.8440
0.0000 -4.8290 4.8440
Pr Ni Sn
2 6 6
Cartesian
0.0000 0.0000 2.4104
0.0000 0.0000 12.1217
-2.4040 -0.1781 6.6870
-1.0477 -2.1710 7.8451
1.3563 -1.9928 6.6870
-1.3563 1.9928 7.8451
1.0477 2.1710 6.6870
2.4040 0.1781 7.8451
-0.7840 -1.8453 5.3222
-1.2061 1.6016 5.3222
-1.9900 -0.2437 9.2099
1.9900 0.2437 5.3222
1.2061 -1.6016 9.2099
0.7840 1.8453 9.2099
```

Main lines, most intense first (2θ from 15° to 90°):
Position (°2θ)  Rel. int.
33.29  100
43.16  61
27.49  48
28.19  37
37.24  37
45.51  32
35.02  27
41.80  22
58.37  20
56.82  19

=====

Structure and calculated powder X-ray diffraction pattern of TbPr3Ni2 (a DFT-relaxed cell (PBE, Alexandria); copper Kα).

Cell and atoms:
```
TbPr3Ni2
1.0
8.3259 -1.9955 0.0000
8.3259 1.9955 0.0000
-6.6275 0.0000 9.7574
Tb Pr Ni
2 6 4
Cartesian
0.9814 0.0000 2.4712
9.0429 0.0000 7.2862
-2.3915 0.0000 7.3040
3.2219 0.0000 5.4850
6.6168 0.0000 0.5369
3.4075 0.0000 9.2205
6.8025 0.0000 4.2724
12.4159 0.0000 2.4534
3.5256 0.0000 0.5079
0.2407 0.0000 5.3645
9.7837 0.0000 4.3929
6.4987 0.0000 9.2495
```

Main lines, most intense first (2θ from 15° to 90°):
Position (°2θ)  Rel. int.
31.87  100
28.52  71
39.80  57
29.66  56
32.46  54
30.79  52
45.45  37
40.61  35
35.09  34
54.10  34

=====

Structure and calculated powder X-ray diffraction pattern of TbPrNi10 (a DFT-relaxed cell (PBE, Alexandria); copper Kα).

Cell and atoms:
```
TbPrNi10
1.0
3.9623 0.0000 0.0000
0.0000 4.9388 0.0000
0.0000 0.0000 8.5458
Tb Pr Ni
1 1 10
Cartesian
0.0000 0.0000 0.0000
0.0000 2.4694 4.2729
0.0000 0.0000 2.8109
0.0000 0.0000 5.7349
0.0000 2.4694 1.3887
0.0000 2.4694 7.1572
1.9811 0.0000 4.2729
1.9811 1.2241 2.1021
1.9811 1.2241 6.4437
1.9811 2.4694 0.0000
1.9811 3.7147 2.1021
1.9811 3.7147 6.4437
```

Main lines, most intense first (2θ from 15° to 90°):
Position (°2θ)  Rel. int.
43.18  100
30.77  48
42.28  35
36.40  31
45.80  26
70.19  22
64.09  20
77.32  15
59.86  14
82.91  14

=====

Structure and calculated powder X-ray diffraction pattern of Pr3NiTe (a DFT-relaxed cell (PBE, Alexandria); copper Kα).

Cell and atoms:
```
Pr3NiTe
1.0
8.2818 0.0000 0.0000
0.0000 4.1165 0.0000
-2.2543 0.0000 8.6412
Pr Ni Te
6 2 2
Cartesian
0.0484 1.0291 2.2436
0.3777 1.0291 8.1058
1.2955 3.0873 5.0994
4.7321 1.0291 3.5418
5.6498 3.0873 0.5354
5.9791 3.0873 6.3976
-0.8173 1.0291 5.0146
6.8448 3.0873 3.6267
2.6791 3.0873 2.0168
3.3485 1.0291 6.6244
```

Main lines, most intense first (2θ from 15° to 90°):
Position (°2θ)  Rel. int.
27.53  100
34.22  75
31.15  48
30.20  46
37.43  41
43.99  37
35.69  35
57.88  31
30.99  29
33.55  28